Theoretical powder diffraction line list
Compound: ErScGe
Radiation: λ = 1.5418 Å (Cu Kα)
Structure: a DFT-relaxed cell (GGA-PBE, the Materials Project)

The 6 most intense peaks (15 to 90 degrees two-theta), by angle:
2theta, d [Å], I (rel.)
29.36, 3.042, 48
33.62, 2.666, 50
34.39, 2.608, 59
34.68, 2.587, 73
34.85, 2.575, 66
35.98, 2.496, 100

Crystal structure
```
ErScGe
1.0
6.085 0.000 0.000
0.000 7.480 4.538
0.000 -7.480 4.538
Er Sc Ge
6 6 6
direct
0.000 0.000 0.000
0.000 0.430 0.686
0.000 0.686 0.430
0.500 0.447 0.447
0.500 0.715 0.977
0.500 0.977 0.715
0.000 0.094 0.706
0.000 0.706 0.094
0.251 0.056 0.369
0.251 0.369 0.056
0.749 0.056 0.369
0.749 0.369 0.056
0.000 0.317 0.317
0.226 0.724 0.724
0.500 0.104 0.104
0.500 0.305 0.703
0.500 0.703 0.305
0.774 0.724 0.724
```



Theoretical powder diffraction line list
Compound: Er2SiGe
Radiation: λ = 1.5418 Å (Cu Kα)
Structure: a DFT-relaxed cell (GGA-PBE, the Materials Project)

The 6 most intense peaks (15 to 90 degrees two-theta), by angle:
2theta, d [Å], I (rel.)
28.58, 3.123, 41
32.42, 2.762, 100
33.06, 2.710, 45
33.96, 2.640, 29
40.63, 2.220, 39
42.59, 2.123, 24

Crystal structure
```
Er2SiGe
1.0
3.873 0.000 0.000
0.000 4.246 0.000
0.000 0.000 10.560
Er Si Ge
4 2 2
direct
0.000 0.000 0.000
0.000 0.500 0.500
0.500 0.000 0.280
0.500 0.500 0.780
0.500 0.000 0.558
0.500 0.500 0.058
0.000 0.000 0.720
0.000 0.500 0.220
```



Theoretical powder diffraction line list
Compound: ErTiGe
Radiation: λ = 1.5418 Å (Cu Kα)
Structure: a DFT-relaxed cell (GGA-PBE, the Materials Project)

The 6 most intense peaks (15 to 90 degrees two-theta), by angle:
2theta, d [Å], I (rel.)
31.32, 2.856, 85
32.31, 2.770, 100
33.51, 2.674, 72
39.44, 2.285, 86
44.88, 2.020, 70
56.38, 1.632, 41

Crystal structure
```
ErTiGe
1.0
4.039 0.000 0.000
0.000 4.039 0.000
0.000 0.000 7.614
Er Ti Ge
2 2 2
direct
0.250 0.250 0.157
0.750 0.750 0.843
0.250 0.750 0.500
0.750 0.250 0.500
0.250 0.250 0.747
0.750 0.750 0.253
```



Theoretical powder diffraction line list
Compound: Er4Zn5Ge6
Radiation: λ = 1.5418 Å (Cu Kα)
Structure: a DFT-relaxed cell (GGA-PBE, the Materials Project)

The 6 most intense peaks (15 to 90 degrees two-theta), by angle:
2theta, d [Å], I (rel.)
31.96, 2.800, 62
32.54, 2.752, 31
34.79, 2.578, 24
36.65, 2.452, 100
39.97, 2.255, 26
42.75, 2.115, 47

Crystal structure
```
Er4Zn5Ge6
1.0
2.115 -9.322 0.000
2.115 9.322 0.000
0.000 0.000 15.267
Er Zn Ge
8 10 12
direct
0.018 0.982 0.500
0.033 0.967 0.764
0.167 0.833 0.304
0.175 0.825 0.945
0.825 0.175 0.445
0.833 0.167 0.804
0.967 0.033 0.264
0.982 0.018 0.000
0.152 0.848 0.627
0.301 0.699 0.624
0.344 0.656 0.273
0.350 0.650 0.981
0.435 0.565 0.685
0.565 0.435 0.185
0.650 0.350 0.481
0.656 0.344 0.773
0.699 0.301 0.124
0.848 0.152 0.127
0.113 0.887 0.117
0.224 0.776 0.485
0.229 0.771 0.766
0.431 0.569 0.407
0.433 0.567 0.129
0.440 0.560 0.854
0.560 0.440 0.354
0.567 0.433 0.629
0.569 0.431 0.907
0.771 0.229 0.266
0.776 0.224 0.985
0.887 0.113 0.617
```